[1]
Structure and calculated X-ray diffraction stick pattern of Ba3SrHg3 (a crystal structure in Alexandria, relaxed with PBE; Cu Kα (λ = 1.5418 Å)).
Peak positions follow from Bragg's law for the DFT cell and can differ from measured ones.

Cell and atoms:
```
data_Ba3SrHg3
_chemical_formula_sum 'Ba9 Sr3 Hg9'
_symmetry_space_group_name_H-M 'R 3 m'
_symmetry_Int_Tables_number 160
_symmetry_space_group_name_Hall 'R 3 -2"'
_cell_length_a 11.6586
_cell_length_b 11.6586
_cell_length_c 7.2411
_cell_angle_alpha 90.00
_cell_angle_beta 90.00
_cell_angle_gamma 120.00
loop_
_atom_site_label
_atom_site_fract_x
_atom_site_fract_y
_atom_site_fract_z
Ba1 0.0002 0.5001 0.0000
Sr1 0.0000 0.0000 0.9993
Hg1 0.9999 0.5000 0.5000
```

Top 10 peaks for 10 to 90 degrees two-theta, most intense first:
Position (°2θ), intensity, index
30.38, 100, 2 0 2
30.67, 98, 2 2 0
54.35, 39, 4 2 2
43.72, 37, 0 4 2
15.20, 25, 1 1 0
53.80, 20, 0 2 4
54.53, 19, 6 0 0
71.89, 17, 2 4 4
72.36, 17, 2 6 2
26.45, 13, 3 0 0

=====

[2]
Structure and calculated X-ray diffraction stick pattern of BaSrHg14 (a crystal structure in Alexandria, relaxed with PBE; Cu Kα (λ = 1.5418 Å)).
Peak positions follow from Bragg's law for the DFT cell and can differ from measured ones.

Cell and atoms:
```
data_BaSrHg14
_chemical_formula_sum 'Ba4 Sr4 Hg56'
_symmetry_space_group_name_H-M 'I m m a'
_symmetry_Int_Tables_number 74
_symmetry_space_group_name_Hall '-I 2b 2'
_cell_length_a 10.8783
_cell_length_b 13.9161
_cell_length_c 12.9610
_cell_angle_alpha 90.00
_cell_angle_beta 90.00
_cell_angle_gamma 90.00
loop_
_atom_site_label
_atom_site_fract_x
_atom_site_fract_y
_atom_site_fract_z
Ba1 0.0000 0.2500 0.1273
Sr1 0.2500 0.2500 0.7500
Hg1 0.0000 0.1194 0.6331
Hg2 0.0000 0.1267 0.3730
Hg3 0.0000 0.1418 0.8740
Hg4 0.1569 0.0337 0.1691
Hg5 0.2375 0.1349 0.5141
```

Top 10 peaks for 10 to 90 degrees two-theta, most intense first:
Position (°2θ), intensity, index
32.17, 100, 2 0 4
41.55, 56, 2 4 4
42.18, 39, 4 4 0
32.93, 37, 4 0 0
33.56, 33, 2 4 2
34.76, 32, 3 2 3
29.13, 27, 0 4 2
25.59, 27, 0 4 0
36.08, 22, 1 5 2
63.01, 21, 2 8 4

=====

[3]
Structure and calculated X-ray diffraction stick pattern of BaTi2Hg (a crystal structure in Alexandria, relaxed with PBE; Cu Kα (λ = 1.5418 Å)).
Peak positions follow from Bragg's law for the DFT cell and can differ from measured ones.

Cell and atoms:
```
data_BaTi2Hg
_chemical_formula_sum 'Ba4 Ti8 Hg4'
_symmetry_space_group_name_H-M 'I -4 2 d'
_symmetry_Int_Tables_number 122
_symmetry_space_group_name_Hall 'I -4 2bw'
_cell_length_a 4.7751
_cell_length_b 4.7751
_cell_length_c 21.2810
_cell_angle_alpha 90.00
_cell_angle_beta 90.00
_cell_angle_gamma 90.00
loop_
_atom_site_label
_atom_site_fract_x
_atom_site_fract_y
_atom_site_fract_z
Ba1 0.0000 0.0000 0.0000
Ti1 0.0299 0.2500 0.6250
Hg1 0.0000 0.0000 0.5000
```

Top 10 peaks for 10 to 90 degrees two-theta, most intense first:
Position (°2θ), intensity, index
27.72, 100, 1 1 2
36.75, 48, 1 1 6
16.66, 40, 0 0 4
41.45, 35, 2 0 4
33.69, 25, 0 0 8
37.68, 22, 2 0 0
62.08, 21, 3 1 2
57.25, 21, 2 2 4
19.05, 20, 1 0 1
50.71, 19, 1 1 10

=====

[4]
Structure and calculated X-ray diffraction stick pattern of BaTl2Hg9 (a crystal structure in Alexandria, relaxed with PBE; Cu Kα (λ = 1.5418 Å)).
Peak positions follow from Bragg's law for the DFT cell and can differ from measured ones.

Cell and atoms:
```
data_BaTl2Hg9
_chemical_formula_sum 'Ba1 Tl2 Hg9'
_symmetry_space_group_name_H-M 'P -1'
_symmetry_Int_Tables_number 2
_symmetry_space_group_name_Hall '-P 1'
_cell_length_a 7.0645
_cell_length_b 7.4383
_cell_length_c 7.7130
_cell_angle_alpha 76.04
_cell_angle_beta 77.78
_cell_angle_gamma 64.72
loop_
_atom_site_label
_atom_site_fract_x
_atom_site_fract_y
_atom_site_fract_z
Ba1 0.0000 0.0000 0.0000
Tl1 0.3547 0.6576 0.3337
Hg1 0.0843 0.1667 0.3570
Hg2 0.1600 0.3499 0.6677
Hg3 0.2536 0.4761 0.0146
Hg4 0.4318 0.8403 0.6670
Hg5 0.5000 0.0000 0.0000
```

Top 10 peaks for 10 to 90 degrees two-theta, most intense first:
Position (°2θ), intensity, index
31.00, 100, 2 1 -1
31.26, 97, 2 1 2
31.38, 96, 0 2 -1
33.01, 85, 0 2 2
35.93, 67, 2 -1 0
36.28, 65, 0 0 3
37.97, 57, 2 3 1
51.05, 24, 2 -1 3
51.84, 23, 4 2 1
64.59, 23, 4 2 -2

=====

[5]
Structure and calculated X-ray diffraction stick pattern of Ba6TlHg2 (a crystal structure in Alexandria, relaxed with PBE; Cu Kα (λ = 1.5418 Å)).
Peak positions follow from Bragg's law for the DFT cell and can differ from measured ones.

Cell and atoms:
```
data_Ba6TlHg2
_chemical_formula_sum 'Ba24 Tl4 Hg8'
_symmetry_space_group_name_H-M 'I m m m'
_symmetry_Int_Tables_number 71
_symmetry_space_group_name_Hall '-I 2 2'
_cell_length_a 11.3651
_cell_length_b 11.9704
_cell_length_c 12.1954
_cell_angle_alpha 90.00
_cell_angle_beta 90.00
_cell_angle_gamma 90.00
loop_
_atom_site_label
_atom_site_fract_x
_atom_site_fract_y
_atom_site_fract_z
Ba1 0.0000 0.1873 0.2489
Ba2 0.2036 0.5000 0.1624
Ba3 0.2305 0.3282 0.5000
Tl1 0.0000 0.0000 0.0000
Tl2 0.0000 0.0000 0.5000
Hg1 0.0000 0.3374 0.0000
Hg2 0.0000 0.5000 0.3723
```

Top 10 peaks for 10 to 90 degrees two-theta, most intense first:
Position (°2θ), intensity, index
27.85, 100, 1 3 2
28.29, 94, 2 3 1
28.00, 68, 2 1 3
26.10, 65, 2 2 2
31.49, 51, 4 0 0
48.45, 36, 5 3 2
15.59, 27, 2 0 0
32.30, 27, 3 0 3
28.84, 27, 3 2 1
31.28, 26, 1 1 4

=====

[6]
Structure and calculated X-ray diffraction stick pattern of Ba8Tl2Hg3 (a crystal structure in Alexandria, relaxed with PBE; Cu Kα (λ = 1.5418 Å)).
Peak positions follow from Bragg's law for the DFT cell and can differ from measured ones.

Cell and atoms:
```
data_Ba8Tl2Hg3
_chemical_formula_sum 'Ba8 Tl2 Hg3'
_symmetry_space_group_name_H-M 'P -1'
_symmetry_Int_Tables_number 2
_symmetry_space_group_name_Hall '-P 1'
_cell_length_a 8.2005
_cell_length_b 9.0977
_cell_length_c 9.1025
_cell_angle_alpha 75.44
_cell_angle_beta 75.56
_cell_angle_gamma 75.55
loop_
_atom_site_label
_atom_site_fract_x
_atom_site_fract_y
_atom_site_fract_z
Ba1 0.2049 0.0822 0.0811
Ba2 0.2471 0.1295 0.5527
Ba3 0.2476 0.5533 0.1305
Ba4 0.2832 0.6238 0.6250
Tl1 0.4306 0.8313 0.8314
Hg1 0.0000 0.5000 0.5000
Hg2 0.4993 0.7646 0.2372
```

Top 10 peaks for 10 to 90 degrees two-theta, most intense first:
Position (°2θ), intensity, index
25.52, 100, 1 0 -2
32.15, 53, 0 2 -2
36.69, 43, 3 2 0
11.37, 35, 1 0 0
26.25, 32, 2 1 2
27.64, 28, 2 2 0
39.61, 28, 0 3 3
28.83, 25, 2 2 2
29.76, 25, -2 1 1
31.09, 18, 0 3 0

=====

[7]
Structure and calculated X-ray diffraction stick pattern of BaTl6Hg6 (a crystal structure in Alexandria, relaxed with PBE; Cu Kα (λ = 1.5418 Å)).
Peak positions follow from Bragg's law for the DFT cell and can differ from measured ones.

Cell and atoms:
```
data_BaTl6Hg6
_chemical_formula_sum 'Ba2 Tl12 Hg12'
_symmetry_space_group_name_H-M 'I m m m'
_symmetry_Int_Tables_number 71
_symmetry_space_group_name_Hall '-I 2 2'
_cell_length_a 7.0803
_cell_length_b 10.3973
_cell_length_c 10.9510
_cell_angle_alpha 90.00
_cell_angle_beta 90.00
_cell_angle_gamma 90.00
loop_
_atom_site_label
_atom_site_fract_x
_atom_site_fract_y
_atom_site_fract_z
Ba1 0.0000 0.0000 0.0000
Tl1 0.0000 0.2941 0.5000
Tl2 0.2500 0.2500 0.2500
Hg1 0.0000 0.0000 0.3572
Hg2 0.0000 0.3503 0.0000
Hg3 0.0000 0.5000 0.2758
```

Top 10 peaks for 10 to 90 degrees two-theta, most intense first:
Position (°2θ), intensity, index
34.76, 100, 2 2 2
33.10, 54, 1 3 2
30.06, 45, 2 0 2
30.55, 44, 2 2 0
32.53, 38, 1 2 3
32.71, 33, 0 0 4
36.22, 28, 1 1 4
34.51, 25, 0 4 0
38.33, 25, 0 4 2
37.11, 22, 0 2 4

=====

[8]
Structure and calculated X-ray diffraction stick pattern of BaTl3Hg8 (a crystal structure in Alexandria, relaxed with PBE; Cu Kα (λ = 1.5418 Å)).
Peak positions follow from Bragg's law for the DFT cell and can differ from measured ones.

Cell and atoms:
```
data_BaTl3Hg8
_chemical_formula_sum 'Ba1 Tl3 Hg8'
_symmetry_space_group_name_H-M 'P 3 m 1'
_symmetry_Int_Tables_number 156
_symmetry_space_group_name_Hall 'P 3 -2"'
_cell_length_a 6.2704
_cell_length_b 6.2704
_cell_length_c 10.2625
_cell_angle_alpha 90.00
_cell_angle_beta 90.00
_cell_angle_gamma 120.00
loop_
_atom_site_label
_atom_site_fract_x
_atom_site_fract_y
_atom_site_fract_z
Ba1 0.0000 0.0000 0.0000
Tl1 0.0000 0.0000 0.3781
Tl2 0.6667 0.3333 0.5008
Tl3 0.6667 0.3333 0.8612
Hg1 0.1625 0.3251 0.6846
Hg2 0.3333 0.6667 0.4360
Hg3 0.3333 0.6667 0.9341
Hg4 0.5048 0.0096 0.1899
```

Top 10 peaks for 10 to 90 degrees two-theta, most intense first:
Position (°2θ), intensity, index
33.50, 100, 1 1 2
34.16, 95, 0 2 1
30.89, 68, 1 0 3
56.18, 35, 0 2 5
58.92, 33, 2 2 0
51.96, 28, 2 1 3
53.69, 27, 0 3 2
37.47, 25, 2 0 2
28.47, 24, 1 1 0
83.74, 24, 2 2 6

=====

[9]
Structure and calculated X-ray diffraction stick pattern of Ba2Tl3Hg6 (a crystal structure in Alexandria, relaxed with PBE; Cu Kα (λ = 1.5418 Å)).
Peak positions follow from Bragg's law for the DFT cell and can differ from measured ones.

Cell and atoms:
```
data_Ba2Tl3Hg6
_chemical_formula_sum 'Ba2 Tl3 Hg6'
_symmetry_space_group_name_H-M 'P 1 2/m 1'
_symmetry_Int_Tables_number 10
_symmetry_space_group_name_Hall '-P 2y'
_cell_length_a 9.2519
_cell_length_b 4.4676
_cell_length_c 9.2884
_cell_angle_alpha 90.00
_cell_angle_beta 110.01
_cell_angle_gamma 90.00
loop_
_atom_site_label
_atom_site_fract_x
_atom_site_fract_y
_atom_site_fract_z
Ba1 0.2083 0.0000 0.2075
Tl1 0.2657 0.0000 0.7302
Tl2 0.5000 0.5000 0.5000
Hg1 0.1186 0.5000 0.8832
Hg2 0.1411 0.5000 0.4634
Hg3 0.4666 0.5000 0.1426
```

Top 10 peaks for 10 to 90 degrees two-theta, most intense first:
Position (°2θ), intensity, index
28.62, 100, 2 1 0
30.89, 78, 2 1 -2
40.38, 34, 0 2 0
32.79, 26, 1 1 2
19.87, 25, 0 1 0
36.87, 23, 0 1 3
36.97, 22, 3 1 0
33.72, 22, 2 0 2
30.73, 22, 0 0 3
51.63, 21, 3 2 0

=====

[10]
Structure and calculated X-ray diffraction stick pattern of BaTl2Hg2 (a crystal structure in Alexandria, relaxed with PBE; Cu Kα (λ = 1.5418 Å)).
Peak positions follow from Bragg's law for the DFT cell and can differ from measured ones.

Cell and atoms:
```
data_BaTl2Hg2
_chemical_formula_sum 'Ba2 Tl4 Hg4'
_symmetry_space_group_name_H-M 'I 4/m m m'
_symmetry_Int_Tables_number 139
_symmetry_space_group_name_Hall '-I 4 2'
_cell_length_a 5.2516
_cell_length_b 5.2516
_cell_length_c 11.9892
_cell_angle_alpha 90.00
_cell_angle_beta 90.00
_cell_angle_gamma 90.00
loop_
_atom_site_label
_atom_site_fract_x
_atom_site_fract_y
_atom_site_fract_z
Ba1 0.0000 0.0000 0.0000
Tl1 0.0000 0.0000 0.3759
Hg1 0.0000 0.5000 0.2500
```

Top 10 peaks for 10 to 90 degrees two-theta, most intense first:
Position (°2θ), intensity, index
28.27, 100, 1 1 2
34.15, 92, 2 0 0
38.60, 69, 1 1 4
28.06, 59, 1 0 3
49.06, 34, 2 2 0
44.76, 34, 2 1 3
64.11, 32, 3 1 4
57.59, 28, 3 1 2
14.78, 26, 0 0 2
41.39, 22, 1 0 5

=====

[11]
Structure and calculated X-ray diffraction stick pattern of Ba2TlHg7 (a crystal structure in Alexandria, relaxed with PBE; Cu Kα (λ = 1.5418 Å)).
Peak positions follow from Bragg's law for the DFT cell and can differ from measured ones.

Cell and atoms:
```
data_Ba2TlHg7
_chemical_formula_sum 'Ba2 Tl1 Hg7'
_symmetry_space_group_name_H-M 'P -4 m 2'
_symmetry_Int_Tables_number 115
_symmetry_space_group_name_Hall 'P -4 -2'
_cell_length_a 4.8614
_cell_length_b 4.8614
_cell_length_c 12.9753
_cell_angle_alpha 90.00
_cell_angle_beta 90.00
_cell_angle_gamma 90.00
loop_
_atom_site_label
_atom_site_fract_x
_atom_site_fract_y
_atom_site_fract_z
Ba1 0.0000 0.5000 0.2466
Tl1 0.0000 0.0000 0.5000
Hg1 0.0000 0.0000 0.0000
Hg2 0.0000 0.5000 0.6400
Hg3 0.0000 0.5000 0.8636
Hg4 0.5000 0.5000 0.0000
Hg5 0.5000 0.5000 0.5000
```

Top 10 peaks for 10 to 90 degrees two-theta, most intense first:
Position (°2θ), intensity, index
29.41, 100, 1 1 2
36.98, 67, 2 0 0
38.15, 60, 1 1 4
27.60, 37, 1 0 3
39.36, 33, 1 0 5
55.11, 25, 2 1 5
62.04, 25, 3 1 2
53.30, 24, 2 2 0
67.41, 23, 3 1 4
19.50, 22, 1 0 1

=====

[12]
Structure and calculated X-ray diffraction stick pattern of Ba4Tl3Hg (a crystal structure in Alexandria, relaxed with PBE; Cu Kα (λ = 1.5418 Å)).
Peak positions follow from Bragg's law for the DFT cell and can differ from measured ones.

Cell and atoms:
```
data_Ba4Tl3Hg
_chemical_formula_sum 'Ba8 Tl6 Hg2'
_symmetry_space_group_name_H-M 'C 1 2/m 1'
_symmetry_Int_Tables_number 12
_symmetry_space_group_name_Hall '-C 2y'
_cell_length_a 18.1811
_cell_length_b 6.0423
_cell_length_c 6.0419
_cell_angle_alpha 90.00
_cell_angle_beta 109.32
_cell_angle_gamma 90.00
loop_
_atom_site_label
_atom_site_fract_x
_atom_site_fract_y
_atom_site_fract_z
Ba1 0.1231 0.0000 0.1229
Ba2 0.1231 0.5000 0.6235
Tl1 0.0000 0.0000 0.5000
Tl2 0.2476 0.0000 0.7466
Hg1 0.0000 0.5000 0.0000
```

Top 10 peaks for 10 to 90 degrees two-theta, most intense first:
Position (°2θ), intensity, index
29.53, 100, 0 2 0
52.42, 27, 3 3 1
52.31, 14, 8 2 0
42.31, 13, 2 2 -2
69.57, 12, 7 3 -3
84.88, 9, 3 5 1
61.24, 8, 6 2 2
42.13, 6, 8 0 0
69.30, 6, 11 1 1
84.76, 5, 6 4 2

=====

What did the ninth record say?
Structure and calculated X-ray diffraction stick pattern of Ba2Tl3Hg6 (a crystal structure in Alexandria, relaxed with PBE; Cu Kα (λ = 1.5418 Å)).
Peak positions follow from Bragg's law for the DFT cell and can differ from measured ones.

Cell and atoms:
```
data_Ba2Tl3Hg6
_chemical_formula_sum 'Ba2 Tl3 Hg6'
_symmetry_space_group_name_H-M 'P 1 2/m 1'
_symmetry_Int_Tables_number 10
_symmetry_space_group_name_Hall '-P 2y'
_cell_length_a 9.2519
_cell_length_b 4.4676
_cell_length_c 9.2884
_cell_angle_alpha 90.00
_cell_angle_beta 110.01
_cell_angle_gamma 90.00
loop_
_atom_site_label
_atom_site_fract_x
_atom_site_fract_y
_atom_site_fract_z
Ba1 0.2083 0.0000 0.2075
Tl1 0.2657 0.0000 0.7302
Tl2 0.5000 0.5000 0.5000
Hg1 0.1186 0.5000 0.8832
Hg2 0.1411 0.5000 0.4634
Hg3 0.4666 0.5000 0.1426
```

Top 10 peaks for 10 to 90 degrees two-theta, most intense first:
Position (°2θ), intensity, index
28.62, 100, 2 1 0
30.89, 78, 2 1 -2
40.38, 34, 0 2 0
32.79, 26, 1 1 2
19.87, 25, 0 1 0
36.87, 23, 0 1 3
36.97, 22, 3 1 0
33.72, 22, 2 0 2
30.73, 22, 0 0 3
51.63, 21, 3 2 0

=====

Please write out number 10 again, unchanged.
Structure and calculated X-ray diffraction stick pattern of BaTl2Hg2 (a crystal structure in Alexandria, relaxed with PBE; Cu Kα (λ = 1.5418 Å)).
Peak positions follow from Bragg's law for the DFT cell and can differ from measured ones.

Cell and atoms:
```
data_BaTl2Hg2
_chemical_formula_sum 'Ba2 Tl4 Hg4'
_symmetry_space_group_name_H-M 'I 4/m m m'
_symmetry_Int_Tables_number 139
_symmetry_space_group_name_Hall '-I 4 2'
_cell_length_a 5.2516
_cell_length_b 5.2516
_cell_length_c 11.9892
_cell_angle_alpha 90.00
_cell_angle_beta 90.00
_cell_angle_gamma 90.00
loop_
_atom_site_label
_atom_site_fract_x
_atom_site_fract_y
_atom_site_fract_z
Ba1 0.0000 0.0000 0.0000
Tl1 0.0000 0.0000 0.3759
Hg1 0.0000 0.5000 0.2500
```

Top 10 peaks for 10 to 90 degrees two-theta, most intense first:
Position (°2θ), intensity, index
28.27, 100, 1 1 2
34.15, 92, 2 0 0
38.60, 69, 1 1 4
28.06, 59, 1 0 3
49.06, 34, 2 2 0
44.76, 34, 2 1 3
64.11, 32, 3 1 4
57.59, 28, 3 1 2
14.78, 26, 0 0 2
41.39, 22, 1 0 5